Simulated powder X-ray diffraction pattern of BaF for CuKα, from the GGA-PBE geometry in Alexandria.

Structural model:
Cell: 10.9395 10.9395 4.5031 Å, 90.00 90.00 90.00°
Fractional positions:
Ba 0.0766 0.2713 0.0000
Ba 0.2287 0.5766 0.5000
Ba 0.2713 0.9234 0.0000
Ba 0.4234 0.2287 0.5000
Ba 0.5766 0.7713 0.5000
Ba 0.7287 0.0766 0.0000
Ba 0.7713 0.4234 0.5000
Ba 0.9234 0.7287 0.0000
F 0.1683 0.7022 0.0000
F 0.2022 0.3317 0.5000
F 0.2978 0.1683 0.0000
F 0.3317 0.7978 0.5000
F 0.6683 0.2022 0.5000
F 0.7022 0.8317 0.0000
F 0.7978 0.6683 0.5000
F 0.8317 0.2978 0.0000

Peak list (8 most intense, 10° ≤ 2θ ≤ 90°, sorted by position)
16.2 deg, 5.470 Å, intensity 21, hkl 2 0 0
21.3 deg, 4.164 Å, intensity 37, hkl 1 0 1
23.0 deg, 3.868 Å, intensity 23, hkl 2 2 0
25.8 deg, 3.459 Å, intensity 74, hkl 1 3 0
26.9 deg, 3.313 Å, intensity 100, hkl 2 1 1
39.4 deg, 2.286 Å, intensity 39, hkl 1 4 1
46.1 deg, 1.968 Å, intensity 48, hkl 3 4 1
48.2 deg, 1.887 Å, intensity 27, hkl 1 3 2